This entry pairs a crystal structure of RuCN2F with its simulated PXRD pattern. Radiation: Cu Kα (λ = 1.5418 Å). Structure: the PBE geometry in Alexandria.
No peak broadening, texture or thermal motion is included.

Principal peaks in the range 2θ from 10° to 90°, by intensity:
| 2θ (°) | I/Imax |
| --- | --- |
| 23.32 | 100 |
| 32.13 | 62 |
| 21.79 | 48 |
| 33.22 | 36 |
| 47.69 | 27 |
| 50.77 | 24 |
| 58.67 | 22 |
| 53.74 | 20 |
| 67.21 | 17 |
| 44.43 | 17 |

Structural model:
Lattice parameters (Å, degrees): 3.814 3.814 4.078 90.00 90.00 90.00
Fractional positions:
Ru1 0.000 0.000 0.000
C1 0.500 0.500 0.500
N1 0.000 0.500 0.000
N2 0.500 0.000 0.000
F1 0.000 0.000 0.500